Computed X-ray powder pattern
Compound: Rb3LaBr6
Radiation: Cu Ka
Structure: DFT lattice parameters and positions (GGA-PBE)
Intensities are scaled so that the largest is 100.

Principal peaks in the range 10° ≤ 2θ ≤ 90°, in order of falling intensity:
two_theta  d/Å  Rel. int.  h k l
29.61  3.017  100  2 2 -2
27.33  3.264  87  1 1 -4
24.76  3.596  80  1 0 2
36.99  2.430  78  3 1 -1
30.35  2.945  70  0 0 4
20.82  4.266  69  1 1 1
21.31  4.169  67  1 1 -3
36.67  2.451  57  0 2 4
25.39  3.507  52  1 0 -4
37.85  2.377  51  3 1 -5

Structure:
Unit cell a=8.2763 b=8.8188 c=14.1954 alpha=90.00 beta=123.84 gamma=90.00
Positions (direct):
Rb  0.0000  0.0000  0.0000
Rb  0.0000  0.5000  0.5000
Rb  0.2107  0.0757  0.7410
Rb  0.2107  0.4243  0.2410
Rb  0.7893  0.5757  0.7590
Rb  0.7893  0.9243  0.2590
La  0.5000  0.0000  0.5000
La  0.5000  0.5000  0.0000
Br  0.1563  0.1801  0.4420
Br  0.1563  0.3199  0.9420
Br  0.2526  0.7240  0.4206
Br  0.2526  0.7760  0.9206
Br  0.4052  0.0602  0.2697
Br  0.4052  0.4398  0.7697
Br  0.5948  0.5602  0.2303
Br  0.5948  0.9398  0.7303
Br  0.7474  0.2240  0.0794
Br  0.7474  0.2760  0.5794
Br  0.8437  0.6801  0.0580
Br  0.8437  0.8199  0.5580